[1]
This entry pairs a crystal structure of Ce3Ga5Cu6 with its simulated powder diffractogram. Radiation: Cu Kα. Structure: DFT lattice parameters and positions (GGA-PBE).
Intensities are scaled so that the largest is 100.

Most intense lines, 2θ from 5° to 70°, by angle:
2θ = 29.05°, rel. 25.1; 2θ = 34.69°, rel. 31.7; 2θ = 35.87°, rel. 100.0; 2θ = 36.06°, rel. 33.1; 2θ = 37.39°, rel. 42.4; 2θ = 37.61°, rel. 30.8; 2θ = 40.00°, rel. 30.5; 2θ = 41.16°, rel. 55.6; 2θ = 41.93°, rel. 31.0; 2θ = 60.21°, rel. 20.5

Structural model:
a = 8.074 Å, b = 8.074 Å, c = 8.074 Å
α = 148.48°, β = 115.41°, γ = 73.65°
Sites, in units of the cell vectors:
Ce  0.000  0.000  0.000
Ce  0.300  0.300  0.000
Ce  0.700  0.700  0.000
Ga  0.012  0.659  0.354
Ga  0.305  0.659  0.646
Ga  0.500  0.000  0.500
Ga  0.695  0.341  0.354
Ga  0.988  0.341  0.646
Cu  0.147  0.864  0.283
Cu  0.318  0.500  0.818
Cu  0.419  0.136  0.283
Cu  0.581  0.864  0.717
Cu  0.682  0.500  0.182
Cu  0.853  0.136  0.717

***

[2]
This entry pairs a crystal structure of Ce2Ga12Cu with its simulated powder diffractogram. Radiation: Cu Kα. Structure: DFT lattice parameters and positions (GGA-PBE).
Intensities are scaled so that the largest is 100.

Most intense lines, 2θ from 5° to 70°, by angle:
2θ = 31.15°, rel. 56.5; 2θ = 31.36°, rel. 100.0; 2θ = 37.15°, rel. 15.4; 2θ = 37.54°, rel. 31.0; 2θ = 41.04°, rel. 36.6; 2θ = 41.55°, rel. 66.7; 2θ = 41.65°, rel. 17.2; 2θ = 46.26°, rel. 23.0; 2θ = 52.83°, rel. 30.4; 2θ = 68.88°, rel. 21.0

Structural model:
a = 6.148 Å, b = 6.148 Å, c = 15.297 Å
α = 90.00°, β = 90.00°, γ = 90.00°
Sites, in units of the cell vectors:
Ce  0.250  0.750  0.244
Ce  0.250  0.750  0.756
Ce  0.750  0.250  0.244
Ce  0.750  0.250  0.756
Ga  0.000  0.000  0.086
Ga  0.000  0.000  0.914
Ga  0.000  0.500  0.086
Ga  0.000  0.500  0.914
Ga  0.079  0.579  0.428
Ga  0.079  0.921  0.572
Ga  0.250  0.250  0.182
Ga  0.250  0.250  0.341
Ga  0.250  0.250  0.659
Ga  0.250  0.250  0.818
Ga  0.421  0.579  0.572
Ga  0.421  0.921  0.428
Ga  0.500  0.000  0.086
Ga  0.500  0.000  0.914
Ga  0.500  0.500  0.086
Ga  0.500  0.500  0.914
Ga  0.579  0.079  0.572
Ga  0.579  0.421  0.428
Ga  0.750  0.750  0.182
Ga  0.750  0.750  0.341
Ga  0.750  0.750  0.659
Ga  0.750  0.750  0.818
Ga  0.921  0.079  0.428
Ga  0.921  0.421  0.572
Cu  0.250  0.750  0.000
Cu  0.750  0.250  0.000

***

[3]
This entry pairs a crystal structure of Ce3Ga3Cu with its simulated powder diffractogram. Radiation: Cu Kα. Structure: DFT lattice parameters and positions (GGA-PBE).
Intensities are scaled so that the largest is 100.

Most intense lines, 2θ from 5° to 70°, by angle:
2θ = 31.65°, rel. 64.1; 2θ = 31.94°, rel. 100.0; 2θ = 32.31°, rel. 40.1; 2θ = 32.43°, rel. 41.1; 2θ = 33.53°, rel. 48.0; 2θ = 36.60°, rel. 23.5; 2θ = 39.59°, rel. 85.6; 2θ = 39.98°, rel. 26.6; 2θ = 40.60°, rel. 59.6; 2θ = 53.62°, rel. 32.4

Structural model:
a = 5.790 Å, b = 5.790 Å, c = 14.436 Å
α = 108.78°, β = 108.78°, γ = 45.14°
Sites, in units of the cell vectors:
Ce  0.045  0.045  0.385
Ce  0.101  0.101  0.919
Ce  0.251  0.251  0.226
Ce  0.749  0.749  0.774
Ce  0.899  0.899  0.081
Ce  0.955  0.955  0.615
Ga  0.366  0.366  0.457
Ga  0.390  0.390  0.925
Ga  0.453  0.453  0.763
Ga  0.547  0.547  0.237
Ga  0.610  0.610  0.075
Ga  0.634  0.634  0.543
Cu  0.248  0.248  0.604
Cu  0.752  0.752  0.396

***

Repeat the first record exactly.
This entry pairs a crystal structure of Ce3Ga5Cu6 with its simulated powder diffractogram. Radiation: Cu Kα. Structure: DFT lattice parameters and positions (GGA-PBE).
Intensities are scaled so that the largest is 100.

Most intense lines, 2θ from 5° to 70°, by angle:
2θ = 29.05°, rel. 25.1; 2θ = 34.69°, rel. 31.7; 2θ = 35.87°, rel. 100.0; 2θ = 36.06°, rel. 33.1; 2θ = 37.39°, rel. 42.4; 2θ = 37.61°, rel. 30.8; 2θ = 40.00°, rel. 30.5; 2θ = 41.16°, rel. 55.6; 2θ = 41.93°, rel. 31.0; 2θ = 60.21°, rel. 20.5

Structural model:
a = 8.074 Å, b = 8.074 Å, c = 8.074 Å
α = 148.48°, β = 115.41°, γ = 73.65°
Sites, in units of the cell vectors:
Ce  0.000  0.000  0.000
Ce  0.300  0.300  0.000
Ce  0.700  0.700  0.000
Ga  0.012  0.659  0.354
Ga  0.305  0.659  0.646
Ga  0.500  0.000  0.500
Ga  0.695  0.341  0.354
Ga  0.988  0.341  0.646
Cu  0.147  0.864  0.283
Cu  0.318  0.500  0.818
Cu  0.419  0.136  0.283
Cu  0.581  0.864  0.717
Cu  0.682  0.500  0.182
Cu  0.853  0.136  0.717